The following is a theoretical XRD peak list of AcAg2Hg2. It was derived from a structure optimized by DFT (GGA-PBE), using Cu Kα (weighted mean of Kα1 and Kα2).

```
data_AcAg2Hg2
_chemical_formula_sum 'Ac1 Ag2 Hg2'
_symmetry_space_group_name_H-M 'P 1'
_symmetry_Int_Tables_number 1
_symmetry_space_group_name_Hall 'P 1'
_cell_length_a 6.4660
_cell_length_b 5.8629
_cell_length_c 5.2783
_cell_angle_alpha 70.73
_cell_angle_beta 58.86
_cell_angle_gamma 50.41
loop_
_atom_site_label
_atom_site_type_symbol
_atom_site_fract_x
_atom_site_fract_y
_atom_site_fract_z
Ac1 Ac 0.0000 0.0000 0.0000
Ag1 Ag 0.2500 0.2500 0.2500
Ag2 Ag 0.7500 0.7500 0.7500
Hg1 Hg 0.3561 0.3561 0.6439
Hg2 Hg 0.6439 0.6439 0.3561
```

Top 8 peaks for 5 to 70 degrees two-theta, by angle:
Position (°2θ)	I/Imax
21.15	32
27.93	43
32.50	100
33.45	17
35.29	84
43.06	24
44.87	42
52.37	27